Entry 1:
This entry pairs a crystal structure of Pr2TeF3 with its simulated X-ray powder pattern. Radiation: CuKα. Structure: a crystal structure in Alexandria, relaxed with GGA-PBE.

Main lines, by angle (10° ≤ 2θ ≤ 80°):
Position (°2θ)	I_rel
26.7	25
26.9	61
28.8	100
30.9	23
31.0	90
31.8	39
36.4	28
40.4	29
44.2	35
56.0	25

Cell and atoms:
Lattice parameters (Å, degrees): 7.9999 7.9999 8.2077 112.33 112.33 29.66
Fractional coordinates of all 12 atoms:
Pr (0.0281, 0.0281, 0.2312)
Pr (0.3029, 0.3029, 0.3178)
Pr (0.6971, 0.6971, 0.6822)
Pr (0.9719, 0.9719, 0.7688)
Te (0.3628, 0.3628, 0.9462)
Te (0.6372, 0.6372, 0.0538)
F (0.1081, 0.1081, 0.6863)
F (0.1944, 0.1944, 0.4732)
F (0.4379, 0.4379, 0.5900)
F (0.5621, 0.5621, 0.4100)
F (0.8056, 0.8056, 0.5268)
F (0.8919, 0.8919, 0.3137)

Entry 2:
This entry pairs a crystal structure of PrTlF4 with its simulated X-ray powder pattern. Radiation: CuKα. Structure: a crystal structure in Alexandria, relaxed with GGA-PBE.

Main lines, by angle (10° ≤ 2θ ≤ 80°):
Position (°2θ)	I_rel
23.9	25
25.4	100
27.7	54
27.9	37
28.3	42
38.4	23
40.2	46
47.0	37
47.9	20
54.7	26

Cell and atoms:
Lattice parameters (Å, degrees): 6.3914 3.8217 16.7690 90.00 90.00 90.00
Fractional coordinates of all 24 atoms:
Pr (0.2469, 0.2500, 0.0566)
Pr (0.2531, 0.7500, 0.5566)
Pr (0.7469, 0.2500, 0.4434)
Pr (0.7531, 0.7500, 0.9434)
Tl (0.2121, 0.7500, 0.2982)
Tl (0.2879, 0.2500, 0.7982)
Tl (0.7121, 0.7500, 0.2018)
Tl (0.7879, 0.2500, 0.7018)
F (0.0036, 0.7500, 0.4455)
F (0.0903, 0.7500, 0.6825)
F (0.1082, 0.7500, 0.1274)
F (0.1327, 0.7500, 0.9674)
F (0.3673, 0.2500, 0.4674)
F (0.3918, 0.2500, 0.6274)
F (0.4097, 0.2500, 0.1825)
F (0.4964, 0.2500, 0.9455)
F (0.5036, 0.7500, 0.0545)
F (0.5903, 0.7500, 0.8175)
F (0.6082, 0.7500, 0.3726)
F (0.6327, 0.7500, 0.5326)
F (0.8673, 0.2500, 0.0326)
F (0.8918, 0.2500, 0.8726)
F (0.9097, 0.2500, 0.3175)
F (0.9964, 0.2500, 0.5545)

Entry 3:
This entry pairs a crystal structure of PrZnF5 with its simulated X-ray powder pattern. Radiation: CuKα. Structure: a crystal structure in Alexandria, relaxed with GGA-PBE.

Main lines, by angle (10° ≤ 2θ ≤ 80°):
Position (°2θ)	I_rel
16.6	13
17.9	11
21.0	71
26.0	100
33.6	40
42.7	18
45.8	28
50.6	30
50.9	21
64.4	18

Cell and atoms:
Lattice parameters (Å, degrees): 5.8004 5.8004 7.9308 109.96 109.96 72.45
Fractional coordinates of all 14 atoms:
Pr (0.0563, 0.9437, 0.7500)
Pr (0.9437, 0.0563, 0.2500)
Zn (0.5000, 0.5000, 0.0000)
Zn (0.5000, 0.5000, 0.5000)
F (0.1813, 0.7997, 0.0323)
F (0.2003, 0.8187, 0.4677)
F (0.2459, 0.2884, 0.3804)
F (0.2884, 0.2459, 0.8804)
F (0.4032, 0.5968, 0.7500)
F (0.5968, 0.4032, 0.2500)
F (0.7116, 0.7541, 0.1196)
F (0.7541, 0.7116, 0.6196)
F (0.7997, 0.1813, 0.5323)
F (0.8187, 0.2003, 0.9677)